Entry 1:
# MnNbCoHSe2
Computed powder diffractogram, Cu Kα. Input: a cell relaxed with GGA-PBE.
No peak broadening, texture or thermal motion is included.

Atomic structure:
a b c (Å): 3.3127 3.7594 15.0604
angles (deg): 90.00 90.00 90.00
Space group Amm2 (No. 38)
Inequivalent atoms, fractional coordinates:
1 Mn 0.0000 0.0000 0.0000 [2 per cell]
2 Nb 0.5000 0.0000 0.6115 [2 per cell]
3 Co 0.5000 0.0000 0.4559 [2 per cell]
4 H 0.0000 0.0000 0.4983 [2 per cell]
5 Se 0.0000 0.0000 0.1774 [2 per cell]
6 Se 0.5000 0.0000 0.8697 [2 per cell]

Most intense lines, 2θ = 5–70°, in order of rising 2θ:
(0 0 2), 7.530 Å, intensity 53
(0 0 4), 3.765 Å, intensity 26
(0 1 3), 3.009 Å, intensity 25
(1 0 4), 2.487 Å, intensity 32
(1 1 1), 2.452 Å, intensity 100
(1 1 5), 1.917 Å, intensity 41
(0 2 0), 1.880 Å, intensity 30
(0 1 7), 1.867 Å, intensity 34

---

Entry 2:
# NpMn2CoH8
Computed powder diffractogram, Cu Kα. Input: a cell relaxed with GGA-PBE.
No peak broadening, texture or thermal motion is included.

Atomic structure:
a b c (Å): 3.9103 3.9582 5.6216
angles (deg): 97.79 100.20 95.43
Space group P-1 (No. 2)
Inequivalent atoms, fractional coordinates:
1 Np 0.0000 0.0000 0.0000 [1 per cell]
2 Mn 0.4129 0.4027 0.2339 [2 per cell]
3 Co 0.0000 0.0000 0.5000 [1 per cell]
4 H 0.1384 0.7025 0.3091 [2 per cell]
5 H 0.2881 0.3252 0.5008 [2 per cell]
6 H 0.2910 0.5542 0.9623 [2 per cell]
7 H 0.3352 0.9311 0.7137 [2 per cell]

Most intense lines, 2θ = 5–70°, in order of rising 2θ:
(0 0 1), 5.466 Å, intensity 85
(0 1 0), 3.892 Å, intensity 49
(1 0 0), 3.820 Å, intensity 45
(0 1 -1), 3.433 Å, intensity 45
(1 -1 0), 2.909 Å, intensity 100
(1 1 0), 2.574 Å, intensity 53
(1 0 -2), 2.458 Å, intensity 61
(0 1 -2), 2.421 Å, intensity 57